(1)
For Rb3GeSb2, a DFT-relaxed cell (PBE, Alexandria) gives the computed X-ray powder pattern in this record (Cu Kα).
Peak positions follow from Bragg's law for the DFT cell and can differ from measured ones.

Main lines, sorted by position (2θ from 10° to 90°):
| 2θ/deg | I/Imax |
| --- | --- |
| 20.51 | 75.4 |
| 22.00 | 51.2 |
| 22.16 | 41.1 |
| 25.04 | 100.0 |
| 27.54 | 51.9 |
| 28.26 | 54.6 |
| 30.80 | 37.9 |
| 32.07 | 37.5 |
| 34.88 | 60.8 |
| 35.20 | 67.1 |

abc: 19.496 5.099 13.364
angles: 90.00 117.31 90.00
Space group C2/m (No. 12)
Unique sites:
Rb: 0.054 0.000 0.254 (multiplicity 4)
Rb: 0.158 0.500 0.988 (multiplicity 4)
Rb: 0.223 0.000 0.605 (multiplicity 4)
Ge: 0.074 0.500 0.654 (multiplicity 4)
Sb: 0.086 0.500 0.457 (multiplicity 4)
Sb: 0.133 0.000 0.777 (multiplicity 4)

(2)
For Rb4GeSe4, a DFT-relaxed cell (PBE, Alexandria) gives the computed X-ray powder pattern in this record (Cu Kα).
Peak positions follow from Bragg's law for the DFT cell and can differ from measured ones.

Main lines, sorted by position (2θ from 10° to 90°):
| 2θ/deg | I/Imax |
| --- | --- |
| 12.97 | 23.7 |
| 23.90 | 32.4 |
| 25.92 | 50.6 |
| 26.11 | 100.0 |
| 31.74 | 39.6 |
| 31.97 | 58.9 |
| 35.90 | 47.4 |
| 37.13 | 25.4 |
| 37.27 | 54.4 |
| 57.03 | 23.2 |

abc: 9.651 9.651 7.356
angles: 90.00 90.00 90.00
Space group P4_2/nmc (No. 137, origin choice 2)
Unique sites:
Rb: 0.021 0.250 0.089 (multiplicity 8)
Ge: 0.250 0.750 0.250 (multiplicity 2)
Se: 0.042 0.750 0.431 (multiplicity 8)

(3)
For Rb2GeTeSe4, a DFT-relaxed cell (PBE, Alexandria) gives the computed X-ray powder pattern in this record (Cu Kα).
Peak positions follow from Bragg's law for the DFT cell and can differ from measured ones.

Main lines, sorted by position (2θ from 10° to 90°):
| 2θ/deg | I/Imax |
| --- | --- |
| 11.64 | 25.1 |
| 22.45 | 26.2 |
| 26.92 | 99.5 |
| 27.29 | 99.6 |
| 27.60 | 100.0 |
| 38.33 | 22.9 |
| 38.93 | 57.7 |
| 39.09 | 34.2 |
| 39.21 | 59.1 |
| 48.52 | 28.1 |

abc: 13.072 12.928 9.218
angles: 90.00 134.06 90.00
Space group C2 (No. 5)
Unique sites:
Rb: 0.019 0.000 0.267 (multiplicity 4)
Rb: 0.232 0.258 0.728 (multiplicity 4)
Ge: 0.188 0.279 0.172 (multiplicity 4)
Te: 0.050 0.541 0.789 (multiplicity 4)
Se: 0.008 0.266 0.210 (multiplicity 4)
Se: 0.017 0.733 0.764 (multiplicity 4)
Se: 0.215 0.493 0.174 (multiplicity 4)
Se: 0.225 0.529 0.750 (multiplicity 4)